1.
For Li3Ag2Bi4Pd2, the GGA-PBE geometry in Alexandria gives the computed PXRD pattern in this record (Cu Ka).
Peak positions follow from Bragg's law for the DFT cell and can differ from measured ones.

Most intense lines, 10° ≤ 2θ ≤ 90°, sorted by position:
- 2θ 21.45, intensity 96
- 2θ 25.72, intensity 35
- 2θ 28.28, intensity 41
- 2θ 30.28, intensity 18
- 2θ 35.77, intensity 45
- 2θ 37.61, intensity 100
- 2θ 41.91, intensity 29
- 2θ 47.71, intensity 60

Structural model:
a = 4.7837 Å, b = 4.7837 Å, c = 12.6225 Å
α = 90.00°, β = 90.00°, γ = 120.00°
Space group P-3m1 (No. 164)
Unique sites:
Li (0.0000, 0.0000, 0.0000)
Li (0.0000, 0.0000, 0.2436)
Ag (0.3333, 0.6667, 0.5801)
Bi (0.3333, 0.6667, 0.3477)
Bi (0.3333, 0.6667, 0.8936)
Pd (0.3333, 0.6667, 0.1250)

---

2.
For Li2Ag7Sn2Bi, the GGA-PBE geometry in Alexandria gives the computed PXRD pattern in this record (Cu Ka).
Peak positions follow from Bragg's law for the DFT cell and can differ from measured ones.

Most intense lines, 10° ≤ 2θ ≤ 90°, sorted by position:
- 2θ 20.88, intensity 25
- 2θ 28.96, intensity 25
- 2θ 32.34, intensity 36
- 2θ 35.72, intensity 42
- 2θ 36.22, intensity 100
- 2θ 40.34, intensity 35
- 2θ 42.49, intensity 27
- 2θ 43.05, intensity 33

Structural model:
a = 5.9597 Å, b = 6.0775 Å, c = 13.4161 Å
α = 90.00°, β = 90.06°, γ = 90.00°
Space group C2/m (No. 12)
Unique sites:
Li (0.9996, 0.0000, 0.1814)
Ag (0.0000, 0.0000, 0.5000)
Ag (0.2422, 0.0000, 0.0001)
Ag (0.2501, 0.2499, 0.3278)
Sn (0.9997, 0.5000, 0.1797)
Bi (0.0000, 0.5000, 0.5000)

---

3.
For NaAg2Bi2, the GGA-PBE geometry in Alexandria gives the computed PXRD pattern in this record (Cu Ka).
Peak positions follow from Bragg's law for the DFT cell and can differ from measured ones.

Most intense lines, 10° ≤ 2θ ≤ 90°, sorted by position:
- 2θ 18.36, intensity 30
- 2θ 20.25, intensity 40
- 2θ 22.01, intensity 25
- 2θ 29.72, intensity 53
- 2θ 30.33, intensity 26
- 2θ 33.90, intensity 57
- 2θ 36.75, intensity 100
- 2θ 40.09, intensity 30

Structural model:
a = 6.1176 Å, b = 6.3290 Å, c = 7.6383 Å
α = 79.47°, β = 74.61°, γ = 69.37°
Space group P-1 (No. 2)
Unique sites:
Na (0.1878, 0.2003, 0.2208)
Ag (0.2334, 0.8474, 0.9356)
Ag (0.3917, 0.8119, 0.5503)
Bi (0.0536, 0.2494, 0.6768)
Bi (0.4459, 0.3796, 0.8016)

---

4.
For Na2PmAgBi2, the GGA-PBE geometry in Alexandria gives the computed PXRD pattern in this record (Cu Ka).
Peak positions follow from Bragg's law for the DFT cell and can differ from measured ones.

Most intense lines, 10° ≤ 2θ ≤ 90°, sorted by position:
- 2θ 22.00, intensity 53
- 2θ 24.10, intensity 70
- 2θ 31.14, intensity 100
- 2θ 34.49, intensity 69
- 2θ 38.63, intensity 42
- 2θ 39.17, intensity 44
- 2θ 40.45, intensity 35
- 2θ 44.89, intensity 37

Structural model:
a = 4.6612 Å, b = 9.3996 Å, c = 7.9126 Å
α = 90.00°, β = 90.00°, γ = 90.00°
Space group Pmc2_1 (No. 26)
Unique sites:
Na (0.0000, 0.0671, 0.0000)
Na (0.5000, 0.1665, 0.3202)
Pm (0.5000, 0.4474, 0.9272)
Ag (0.0000, 0.3219, 0.5975)
Bi (0.0000, 0.3778, 0.2136)
Bi (0.5000, 0.1603, 0.7179)

---

5.
For Nd5AgBi2, the GGA-PBE geometry in Alexandria gives the computed PXRD pattern in this record (Cu Ka).
Peak positions follow from Bragg's law for the DFT cell and can differ from measured ones.

Most intense lines, 10° ≤ 2θ ≤ 90°, sorted by position:
- 2θ 23.26, intensity 23
- 2θ 29.43, intensity 100
- 2θ 32.02, intensity 84
- 2θ 34.32, intensity 15
- 2θ 37.00, intensity 16
- 2θ 45.80, intensity 14
- 2θ 47.95, intensity 16
- 2θ 53.85, intensity 27

Structural model:
a = 6.0753 Å, b = 12.3981 Å, c = 14.5781 Å
α = 90.00°, β = 90.00°, γ = 90.00°
Space group Cmcm (No. 63)
Unique sites:
Nd (0.0000, 0.0675, 0.1065)
Nd (0.0000, 0.3780, 0.0600)
Nd (0.0000, 0.3816, 0.7500)
Ag (0.0000, 0.2604, 0.2500)
Bi (0.0000, 0.1961, 0.6027)

---

6.
For NpAgBi2, the GGA-PBE geometry in Alexandria gives the computed PXRD pattern in this record (Cu Ka).
Peak positions follow from Bragg's law for the DFT cell and can differ from measured ones.

Most intense lines, 10° ≤ 2θ ≤ 90°, sorted by position:
- 2θ 32.32, intensity 30
- 2θ 32.56, intensity 79
- 2θ 33.24, intensity 100
- 2θ 34.18, intensity 46
- 2θ 40.04, intensity 45
- 2θ 53.64, intensity 39
- 2θ 60.60, intensity 19
- 2θ 68.83, intensity 19

Structural model:
a = 6.2832 Å, b = 10.4925 Å, c = 6.4585 Å
α = 90.00°, β = 90.00°, γ = 90.00°
Space group Cmme (No. 67)
Unique sites:
Np (0.0000, 0.2500, 0.2018)
Ag (0.2500, 0.0000, 0.5000)
Bi (0.0000, 0.2500, 0.6865)
Bi (0.2500, 0.0000, 0.0000)

---

7.
For AgBi2O4, the GGA-PBE geometry in Alexandria gives the computed PXRD pattern in this record (Cu Ka).
Peak positions follow from Bragg's law for the DFT cell and can differ from measured ones.

Most intense lines, 10° ≤ 2θ ≤ 90°, sorted by position:
- 2θ 14.94, intensity 91
- 2θ 28.79, intensity 41
- 2θ 29.03, intensity 59
- 2θ 29.15, intensity 61
- 2θ 29.40, intensity 56
- 2θ 30.14, intensity 66
- 2θ 31.54, intensity 48
- 2θ 35.49, intensity 100

Structural model:
a = 12.1260 Å, b = 7.3184 Å, c = 7.0018 Å
α = 90.00°, β = 123.44°, γ = 90.00°
Space group C2 (No. 5)
Unique sites:
Ag (0.1613, 0.0000, 0.3869)
Bi (0.0000, 0.5734, 0.0000)
Bi (0.0000, 0.5765, 0.5000)
Bi (0.2473, 0.8511, 0.9825)
O (0.0085, 0.7722, 0.2409)
O (0.0299, 0.3681, 0.8089)
O (0.2182, 0.5681, 0.2061)
O (0.2253, 0.6375, 0.7475)

---

8.
For Ag25Bi3O18, the GGA-PBE geometry in Alexandria gives the computed PXRD pattern in this record (Cu Ka).
Peak positions follow from Bragg's law for the DFT cell and can differ from measured ones.

Most intense lines, 10° ≤ 2θ ≤ 90°, sorted by position:
- 2θ 26.34, intensity 22
- 2θ 27.05, intensity 37
- 2θ 31.69, intensity 41
- 2θ 32.92, intensity 100
- 2θ 34.77, intensity 78
- 2θ 35.37, intensity 95
- 2θ 36.41, intensity 24
- 2θ 55.77, intensity 40

Structural model:
a = 11.7217 Å, b = 11.7217 Å, c = 6.4450 Å
α = 90.00°, β = 90.00°, γ = 120.00°
Space group P-3 (No. 147)
Unique sites:
Ag (0.0000, 0.0000, 0.0000)
Ag (0.0000, 0.5000, 0.0000)
Ag (0.0000, 0.5000, 0.5000)
Ag (0.0268, 0.7509, 0.1544)
Ag (0.0419, 0.3001, 0.3387)
Ag (0.2385, 0.7541, 0.7466)
Bi (0.0000, 0.0000, 0.5000)
Bi (0.3333, 0.6667, 0.2377)
O (0.0836, 0.9099, 0.7059)
O (0.1647, 0.6889, 0.0525)
O (0.1799, 0.5024, 0.4444)